[1]
EuInO3: calculated powder XRD pattern (Cu Kα), based on the PBE geometry in Alexandria.
Peak positions follow from Bragg's law for the DFT cell and can differ from measured ones.

The 12 most intense peaks (5° ≤ 2θ ≤ 70°), by angle:
24.18°, d = 3.680 Å, I 98
29.93°, d = 2.985 Å, I 206
30.79°, d = 2.904 Å, I 1000
31.44°, d = 2.846 Å, I 230
43.96°, d = 2.060 Å, I 180
44.25°, d = 2.047 Å, I 123
49.80°, d = 1.831 Å, I 100
53.68°, d = 1.708 Å, I 111
54.34°, d = 1.688 Å, I 95
55.28°, d = 1.662 Å, I 113
55.57°, d = 1.654 Å, I 222
64.14°, d = 1.452 Å, I 98

Structure:
Cell lengths 5.971, 8.188, 5.691 Å; angles 90.00, 90.00, 90.00 degrees
Fractional positions:
1 Eu 0.062 0.250 0.018
2 Eu 0.438 0.750 0.518
3 Eu 0.562 0.250 0.482
4 Eu 0.938 0.750 0.982
5 In 0.000 0.000 0.500
6 In 0.000 0.500 0.500
7 In 0.500 0.000 0.000
8 In 0.500 0.500 0.000
9 O 0.060 0.750 0.369
10 O 0.192 0.567 0.812
11 O 0.192 0.933 0.812
12 O 0.308 0.067 0.312
13 O 0.308 0.433 0.312
14 O 0.440 0.250 0.869
15 O 0.560 0.750 0.131
16 O 0.692 0.567 0.688
17 O 0.692 0.933 0.688
18 O 0.808 0.067 0.188
19 O 0.808 0.433 0.188
20 O 0.940 0.250 0.631

[2]
Pr2EuIn: calculated powder XRD pattern (Cu Kα), based on the PBE geometry in Alexandria.
Peak positions follow from Bragg's law for the DFT cell and can differ from measured ones.

The 10 most intense peaks (5° ≤ 2θ ≤ 70°), by angle:
17.37°, d = 5.106 Å, I 7
25.10°, d = 3.548 Å, I 7
30.68°, d = 2.914 Å, I 1000
35.15°, d = 2.553 Å, I 348
36.41°, d = 2.468 Å, I 158
50.56°, d = 1.805 Å, I 123
51.51°, d = 1.774 Å, I 232
60.31°, d = 1.535 Å, I 288
61.99°, d = 1.497 Å, I 132
63.89°, d = 1.457 Å, I 121

Structure:
Cell lengths 5.106, 5.106, 4.935 Å; angles 90.00, 90.00, 90.00 degrees
Fractional positions:
1 Pr 0.000 0.500 0.000
2 Pr 0.500 0.000 0.000
3 Eu 0.000 0.000 0.500
4 In 0.500 0.500 0.500

[3]
EuTmInPt: calculated powder XRD pattern (Cu Kα), based on the PBE geometry in Alexandria.
Peak positions follow from Bragg's law for the DFT cell and can differ from measured ones.

The 7 most intense peaks (5° ≤ 2θ ≤ 70°), by angle:
21.03°, d = 4.225 Å, I 33
34.67°, d = 2.587 Å, I 1000
40.90°, d = 2.206 Å, I 19
49.84°, d = 1.830 Å, I 179
54.67°, d = 1.679 Å, I 9
62.14°, d = 1.494 Å, I 369
66.38°, d = 1.408 Å, I 7

Structure:
Cell lengths 7.318, 7.318, 7.318 Å; angles 90.00, 90.00, 90.00 degrees
Fractional positions:
1 Eu 0.000 0.000 0.000
2 Eu 0.000 0.500 0.500
3 Eu 0.500 0.000 0.500
4 Eu 0.500 0.500 0.000
5 Tm 0.000 0.000 0.500
6 Tm 0.000 0.500 0.000
7 Tm 0.500 0.000 0.000
8 Tm 0.500 0.500 0.500
9 In 0.250 0.250 0.250
10 In 0.250 0.750 0.750
11 In 0.750 0.250 0.750
12 In 0.750 0.750 0.250
13 Pt 0.250 0.250 0.750
14 Pt 0.250 0.750 0.250
15 Pt 0.750 0.250 0.250
16 Pt 0.750 0.750 0.750

[4]
EuIn8Rh2: calculated powder XRD pattern (Cu Kα), based on the PBE geometry in Alexandria.
Peak positions follow from Bragg's law for the DFT cell and can differ from measured ones.

The 12 most intense peaks (5° ≤ 2θ ≤ 70°), by angle:
30.52°, d = 2.929 Å, I 701
32.40°, d = 2.763 Å, I 1000
32.63°, d = 2.744 Å, I 276
33.10°, d = 2.707 Å, I 324
38.89°, d = 2.316 Å, I 543
39.36°, d = 2.289 Å, I 514
39.63°, d = 2.274 Å, I 388
40.71°, d = 2.217 Å, I 349
41.03°, d = 2.200 Å, I 659
59.17°, d = 1.561 Å, I 234
64.08°, d = 1.453 Å, I 193
65.76°, d = 1.420 Å, I 195

Structure:
Cell lengths 14.045, 16.352, 4.400 Å; angles 90.00, 90.00, 90.00 degrees
Fractional positions:
1 Eu 0.156 0.180 0.000
2 Eu 0.344 0.680 0.000
3 Eu 0.656 0.320 0.000
4 Eu 0.844 0.820 0.000
5 In 0.000 0.000 0.000
6 In 0.000 0.500 0.500
7 In 0.019 0.866 0.500
8 In 0.051 0.315 0.500
9 In 0.102 0.746 0.000
10 In 0.160 0.456 0.000
11 In 0.168 0.623 0.500
12 In 0.170 0.012 0.500
13 In 0.241 0.822 0.500
14 In 0.259 0.322 0.500
15 In 0.330 0.512 0.500
16 In 0.332 0.123 0.500
17 In 0.340 0.956 0.000
18 In 0.398 0.246 0.000
19 In 0.449 0.815 0.500
20 In 0.481 0.366 0.500
21 In 0.500 0.000 0.500
22 In 0.500 0.500 0.000
23 In 0.519 0.634 0.500
24 In 0.551 0.185 0.500
25 In 0.602 0.754 0.000
26 In 0.660 0.044 0.000
27 In 0.668 0.877 0.500
28 In 0.670 0.488 0.500
29 In 0.741 0.678 0.500
30 In 0.759 0.178 0.500
31 In 0.830 0.988 0.500
32 In 0.832 0.377 0.500
33 In 0.840 0.544 0.000
34 In 0.898 0.254 0.000
35 In 0.949 0.685 0.500
36 In 0.981 0.134 0.500
37 Rh 0.034 0.595 0.000
38 Rh 0.154 0.904 0.000
39 Rh 0.346 0.404 0.000
40 Rh 0.466 0.095 0.000
41 Rh 0.534 0.905 0.000
42 Rh 0.654 0.596 0.000
43 Rh 0.846 0.096 0.000
44 Rh 0.966 0.405 0.000

[5]
EuYInRh: calculated powder XRD pattern (Cu Kα), based on the PBE geometry in Alexandria.
Peak positions follow from Bragg's law for the DFT cell and can differ from measured ones.

The 7 most intense peaks (5° ≤ 2θ ≤ 70°), by angle:
21.03°, d = 4.224 Å, I 39
34.68°, d = 2.587 Å, I 1000
40.91°, d = 2.206 Å, I 24
49.86°, d = 1.829 Å, I 175
54.69°, d = 1.678 Å, I 10
62.16°, d = 1.493 Å, I 357
66.40°, d = 1.408 Å, I 8

Structure:
Cell lengths 7.316, 7.316, 7.316 Å; angles 90.00, 90.00, 90.00 degrees
Fractional positions:
1 Eu 0.000 0.000 0.000
2 Eu 0.000 0.500 0.500
3 Eu 0.500 0.000 0.500
4 Eu 0.500 0.500 0.000
5 Y 0.000 0.000 0.500
6 Y 0.000 0.500 0.000
7 Y 0.500 0.000 0.000
8 Y 0.500 0.500 0.500
9 In 0.250 0.250 0.250
10 In 0.250 0.750 0.750
11 In 0.750 0.250 0.750
12 In 0.750 0.750 0.250
13 Rh 0.250 0.250 0.750
14 Rh 0.250 0.750 0.250
15 Rh 0.750 0.250 0.250
16 Rh 0.750 0.750 0.750

[6]
EuIn2S4: calculated powder XRD pattern (Cu Kα), based on the PBE geometry in Alexandria.
Peak positions follow from Bragg's law for the DFT cell and can differ from measured ones.

The 12 most intense peaks (5° ≤ 2θ ≤ 70°), by angle:
15.88°, d = 5.582 Å, I 291
23.23°, d = 3.830 Å, I 519
24.05°, d = 3.701 Å, I 585
26.96°, d = 3.307 Å, I 180
29.06°, d = 3.072 Å, I 358
34.06°, d = 2.632 Å, I 290
34.47°, d = 2.602 Å, I 204
36.44°, d = 2.466 Å, I 1000
43.97°, d = 2.059 Å, I 172
45.40°, d = 1.998 Å, I 353
49.01°, d = 1.859 Å, I 336
57.03°, d = 1.615 Å, I 164

Structure:
Cell lengths 6.166, 6.166, 10.528 Å; angles 90.00, 90.00, 115.13 degrees
Fractional positions:
1 Eu 0.000 0.000 0.250
2 Eu 0.000 0.000 0.750
3 In 0.276 0.717 0.000
4 In 0.283 0.724 0.500
5 In 0.717 0.276 0.500
6 In 0.724 0.283 0.000
7 S 0.000 0.500 0.179
8 S 0.000 0.500 0.821
9 S 0.140 0.285 0.500
10 S 0.285 0.140 0.000
11 S 0.500 0.000 0.321
12 S 0.500 0.000 0.679
13 S 0.715 0.860 0.000
14 S 0.860 0.715 0.500